(1)
For SmNi2PPt2, the PBE geometry in Alexandria gives the calculated powder diffractogram in this record (λ = 1.5418 Å (Cu Kα)).
No peak broadening, texture or thermal motion is included.

The 10 most intense peaks (10 to 90 degrees two-theta), most intense first:
(hkl)	2θ (°)	I/Imax
1 0 2	38.53	100
1 1 0	29.46	62
2 0 0	42.16	61
2 1 2	58.43	60
1 1 1	33.65	39
1 0 0	20.72	31
1 1 2	44.15	24
2 2 0	61.14	20
3 2 2	89.64	19
2 0 4	82.59	16

Structural model:
a b c (Å): 4.287 4.287 5.573
angles (deg): 90.00 90.00 90.00
Sites, in units of the cell vectors:
Sm 0.000 0.000 0.000
Ni 0.000 0.500 0.500
Ni 0.500 0.000 0.500
P 0.000 0.000 0.500
Pt 0.500 0.500 0.234
Pt 0.500 0.500 0.766


(2)
For ThSi2Pt4, the PBE geometry in Alexandria gives the calculated powder diffractogram in this record (λ = 1.5418 Å (Cu Kα)).
No peak broadening, texture or thermal motion is included.

The 10 most intense peaks (10 to 90 degrees two-theta), most intense first:
(hkl)	2θ (°)	I/Imax
5 1 1	36.02	100
2 1 2	35.56	77
0 2 0	42.70	51
3 0 3	43.12	41
4 1 1	32.39	32
4 0 2	33.68	30
2 1 3	46.92	24
1 1 2	34.37	24
7 0 1	38.71	23
6 1 0	37.68	20

Structural model:
a b c (Å): 17.345 4.235 6.749
angles (deg): 90.00 90.00 90.00
Sites, in units of the cell vectors:
Th 0.141 0.250 0.008
Th 0.359 0.750 0.508
Th 0.641 0.250 0.492
Th 0.859 0.750 0.992
Si 0.034 0.750 0.260
Si 0.203 0.250 0.558
Si 0.297 0.750 0.058
Si 0.466 0.250 0.760
Si 0.534 0.750 0.240
Si 0.703 0.250 0.942
Si 0.797 0.750 0.442
Si 0.966 0.250 0.740
Pt 0.025 0.750 0.875
Pt 0.063 0.250 0.483
Pt 0.168 0.750 0.348
Pt 0.219 0.750 0.757
Pt 0.281 0.250 0.257
Pt 0.332 0.250 0.848
Pt 0.437 0.750 0.983
Pt 0.475 0.250 0.375
Pt 0.525 0.750 0.625
Pt 0.563 0.250 0.017
Pt 0.668 0.750 0.152
Pt 0.719 0.750 0.743
Pt 0.781 0.250 0.243
Pt 0.832 0.250 0.652
Pt 0.937 0.750 0.517
Pt 0.975 0.250 0.125


(3)
For Tb4GeSe2Br, the PBE geometry in Alexandria gives the calculated powder diffractogram in this record (λ = 1.5418 Å (Cu Kα)).
No peak broadening, texture or thermal motion is included.

The 10 most intense peaks (10 to 90 degrees two-theta), most intense first:
(hkl)	2θ (°)	I/Imax
2 0 -2	30.46	100
1 1 -3	43.32	35
3 1 -1	43.98	25
2 2 -2	54.30	13
0 2 0	43.77	13
1 1 -1	26.38	10
3 1 -5	71.56	9
3 3 -1	80.54	8
2 2 2	63.32	7
4 0 0	54.55	6

Structural model:
a b c (Å): 7.121 4.136 7.266
angles (deg): 90.00 109.09 90.00
Sites, in units of the cell vectors:
Tb 0.235 0.000 0.220
Tb 0.253 0.500 0.771
Tb 0.747 0.500 0.229
Tb 0.765 0.000 0.780
Ge 0.500 0.000 0.000
Se 0.000 0.000 0.500
Se 0.000 0.500 0.000
Br 0.500 0.500 0.500